[1]
Dy3Ge2Rh6: simulated powder diffractogram (copper Kα), based on a structure optimized by DFT (GGA-PBE).
Intensities are scaled so that the largest is 100.

Main lines, sorted by position (10 to 80 degrees two-theta):
d = 6.568 Å, intensity 11; d = 2.937 Å, intensity 17; d = 2.681 Å, intensity 26; d = 2.482 Å, intensity 27; d = 2.322 Å, intensity 12; d = 2.189 Å, intensity 100; d = 1.696 Å, intensity 10; d = 1.507 Å, intensity 13; d = 1.400 Å, intensity 15; d = 1.264 Å, intensity 25

```
Dy3Ge2Rh6
1.0
-4.6440 4.6440 4.6440
4.6440 -4.6440 4.6440
4.6440 4.6440 -4.6440
Dy Ge Rh
6 4 12
Direct
0.0000 0.2870 0.2870
0.0000 0.7130 0.7130
0.2870 0.0000 0.2870
0.2870 0.2870 0.0000
0.7130 0.0000 0.7130
0.7130 0.7130 0.0000
0.0000 0.0000 0.5000
0.0000 0.5000 0.0000
0.5000 0.0000 0.0000
0.5000 0.5000 0.5000
0.0000 0.3441 0.6559
0.0000 0.6559 0.3441
0.3118 0.6559 0.6559
0.3441 0.0000 0.6559
0.3441 0.3441 0.6882
0.3441 0.6559 0.0000
0.3441 0.6882 0.3441
0.6559 0.0000 0.3441
0.6559 0.3118 0.6559
0.6559 0.3441 0.0000
0.6559 0.6559 0.3118
0.6882 0.3441 0.3441
```


[2]
Rb5ZrTe5: simulated powder diffractogram (copper Kα), based on a structure optimized by DFT (GGA-PBE).
Intensities are scaled so that the largest is 100.

Main lines, sorted by position (10 to 80 degrees two-theta):
d = 6.243 Å, intensity 42; d = 3.655 Å, intensity 65; d = 3.491 Å, intensity 85; d = 3.404 Å, intensity 100; d = 2.844 Å, intensity 48; d = 2.491 Å, intensity 46; d = 2.446 Å, intensity 19; d = 2.437 Å, intensity 66; d = 1.987 Å, intensity 21; d = 1.686 Å, intensity 18

```
Rb5ZrTe5
1.0
8.3209 -3.4036 0.0000
8.3209 3.4036 0.0000
-3.3083 0.0000 9.2206
Rb Zr Te
5 1 5
Direct
0.0000 0.0000 0.0000
0.3004 0.3004 0.1932
0.3288 0.3288 0.6578
0.6712 0.6712 0.3422
0.6996 0.6996 0.8068
0.0000 0.0000 0.5000
0.1281 0.1281 0.3639
0.1353 0.1353 0.7833
0.5000 0.5000 0.5000
0.8647 0.8647 0.2167
0.8719 0.8719 0.6361
```


[3]
K2Fe4B: simulated powder diffractogram (copper Kα), based on a structure optimized by DFT (GGA-PBE).
Intensities are scaled so that the largest is 100.

Main lines, sorted by position (10 to 80 degrees two-theta):
d = 3.886 Å, intensity 36; d = 3.458 Å, intensity 40; d = 2.906 Å, intensity 70; d = 2.704 Å, intensity 26; d = 2.478 Å, intensity 100; d = 2.421 Å, intensity 30; d = 2.201 Å, intensity 33; d = 1.976 Å, intensity 55; d = 1.934 Å, intensity 39; d = 1.325 Å, intensity 26

```
K2Fe4B
1.0
3.9517 0.0000 0.0000
0.0000 3.9517 0.0000
0.0000 0.0000 21.4444
K Fe B
4 8 2
Direct
0.0000 0.0000 0.1680
0.0000 0.0000 0.8320
0.5000 0.5000 0.3320
0.5000 0.5000 0.6680
0.0000 0.0000 0.4136
0.0000 0.0000 0.5864
0.0000 0.5000 0.0000
0.0000 0.5000 0.5000
0.5000 0.0000 0.0000
0.5000 0.0000 0.5000
0.5000 0.5000 0.0864
0.5000 0.5000 0.9136
0.0000 0.0000 0.5000
0.5000 0.5000 0.0000
```


[4]
KTl2SnI4: simulated powder diffractogram (copper Kα), based on a structure optimized by DFT (GGA-PBE).
Intensities are scaled so that the largest is 100.

Main lines, sorted by position (10 to 80 degrees two-theta):
d = 6.285 Å, intensity 18; d = 3.523 Å, intensity 100; d = 3.477 Å, intensity 47; d = 2.491 Å, intensity 40; d = 2.475 Å, intensity 76; d = 2.025 Å, intensity 42; d = 1.575 Å, intensity 19; d = 1.571 Å, intensity 19; d = 1.559 Å, intensity 17; d = 1.435 Å, intensity 28

```
KTl2SnI4
1.0
7.0455 0.0000 0.0000
0.0000 7.0455 0.0000
0.0000 0.0000 13.9067
K Tl Sn I
2 4 2 8
Direct
0.0000 0.0000 0.0000
0.5000 0.5000 0.5000
0.0000 0.0000 0.5000
0.0000 0.5000 0.2500
0.5000 0.0000 0.7500
0.5000 0.5000 0.0000
0.0000 0.5000 0.7500
0.5000 0.0000 0.2500
0.0000 0.0000 0.2501
0.0000 0.0000 0.7499
0.0000 0.5000 0.5133
0.0000 0.5000 0.9867
0.5000 0.0000 0.0133
0.5000 0.0000 0.4867
0.5000 0.5000 0.2499
0.5000 0.5000 0.7501
```


[5]
K2VSnSe4: simulated powder diffractogram (copper Kα), based on a structure optimized by DFT (GGA-PBE).
Intensities are scaled so that the largest is 100.

Main lines, sorted by position (10 to 80 degrees two-theta):
d = 5.950 Å, intensity 63; d = 5.154 Å, intensity 19; d = 3.814 Å, intensity 8; d = 3.260 Å, intensity 100; d = 3.044 Å, intensity 25; d = 2.915 Å, intensity 11; d = 2.577 Å, intensity 14; d = 2.289 Å, intensity 8; d = 2.201 Å, intensity 8; d = 2.105 Å, intensity 20

```
K2VSnSe4
1.0
7.0713 0.0000 0.0000
2.7661 7.2860 0.0000
0.0861 0.0415 10.3075
K V Sn Se
4 2 2 8
Direct
0.0035 0.2553 0.3822
0.4955 0.7549 0.8671
0.5045 0.2451 0.1329
0.9965 0.7447 0.6178
0.4976 0.7465 0.2564
0.5024 0.2535 0.7436
0.0015 0.2524 0.8229
0.9985 0.7476 0.1771
0.2467 0.9663 0.1322
0.2513 0.4666 0.8723
0.3026 0.5820 0.3552
0.3077 0.0939 0.6431
0.6923 0.9061 0.3569
0.6974 0.4180 0.6448
0.7487 0.5334 0.1277
0.7533 0.0337 0.8678
```


[6]
Tl2OsF6: simulated powder diffractogram (copper Kα), based on a structure optimized by DFT (GGA-PBE).
Intensities are scaled so that the largest is 100.

Main lines, sorted by position (10 to 80 degrees two-theta):
d = 3.762 Å, intensity 100; d = 3.188 Å, intensity 62; d = 2.709 Å, intensity 15; d = 2.432 Å, intensity 29; d = 2.001 Å, intensity 45; d = 1.934 Å, intensity 31; d = 1.840 Å, intensity 18; d = 1.496 Å, intensity 14; d = 1.468 Å, intensity 14; d = 1.354 Å, intensity 13

```
Tl2OsF6
1.0
6.3752 0.0000 0.0000
-3.1876 5.5211 0.0000
0.0000 0.0000 5.1401
Tl Os F
2 1 6
Direct
0.3333 0.6667 0.0000
0.6667 0.3333 0.0000
0.0000 0.0000 0.5000
0.0000 0.2563 0.2826
0.0000 0.7437 0.7174
0.2563 0.0000 0.2826
0.2563 0.2563 0.7174
0.7437 0.0000 0.7174
0.7437 0.7437 0.2826
```


[7]
Y2TaMn: simulated powder diffractogram (copper Kα), based on a structure optimized by DFT (GGA-PBE).
Intensities are scaled so that the largest is 100.

Main lines, sorted by position (10 to 80 degrees two-theta):
d = 3.192 Å, intensity 24; d = 2.681 Å, intensity 100; d = 2.582 Å, intensity 20; d = 2.363 Å, intensity 20; d = 2.252 Å, intensity 37; d = 1.938 Å, intensity 18; d = 1.755 Å, intensity 18; d = 1.669 Å, intensity 27; d = 1.479 Å, intensity 15; d = 1.417 Å, intensity 13

```
Y2TaMn
1.0
3.3377 0.0000 0.0000
-1.6688 2.8905 0.0000
0.0000 0.0000 28.7261
Y Ta Mn
6 3 3
Direct
0.0000 0.0000 0.0000
0.0000 0.0000 0.2206
0.3333 0.6667 0.6667
0.3333 0.6667 0.8872
0.6667 0.3333 0.3333
0.6667 0.3333 0.5539
0.0000 0.0000 0.4633
0.3333 0.6667 0.1300
0.6667 0.3333 0.7967
0.0000 0.0000 0.7416
0.3333 0.6667 0.4083
0.6667 0.3333 0.0750
```


[8]
Ta2Ti2Fe: simulated powder diffractogram (copper Kα), based on a structure optimized by DFT (GGA-PBE).
Intensities are scaled so that the largest is 100.

Main lines, sorted by position (10 to 80 degrees two-theta):
d = 4.249 Å, intensity 100; d = 3.679 Å, intensity 49; d = 3.428 Å, intensity 42; d = 2.781 Å, intensity 44; d = 2.575 Å, intensity 37; d = 2.407 Å, intensity 71; d = 2.259 Å, intensity 40; d = 2.202 Å, intensity 85; d = 2.132 Å, intensity 74; d = 2.124 Å, intensity 89

```
Ta2Ti2Fe
1.0
2.6861 -4.2462 0.0000
2.6861 4.2462 0.0000
-2.1898 0.0000 7.3599
Ta Ti Fe
4 4 2
Direct
0.2021 0.2021 0.3905
0.2499 0.2499 0.0306
0.7501 0.7501 0.9694
0.7979 0.7979 0.6095
0.1725 0.5348 0.7652
0.4652 0.8275 0.2348
0.5348 0.1725 0.7652
0.8275 0.4652 0.2348
0.2575 0.7425 0.5000
0.7425 0.2575 0.5000
```


[9]
Pr6SnSe4: simulated powder diffractogram (copper Kα), based on a structure optimized by DFT (GGA-PBE).
Intensities are scaled so that the largest is 100.

Main lines, sorted by position (10 to 80 degrees two-theta):
d = 3.194 Å, intensity 79; d = 3.137 Å, intensity 50; d = 3.042 Å, intensity 100; d = 2.901 Å, intensity 41; d = 2.258 Å, intensity 31; d = 2.166 Å, intensity 37; d = 2.152 Å, intensity 30; d = 2.136 Å, intensity 25; d = 2.061 Å, intensity 21; d = 1.793 Å, intensity 30

```
Pr6SnSe4
1.0
2.1657 -6.9810 0.0000
2.1657 6.9810 0.0000
0.0000 0.0000 21.5554
Pr Sn Se
12 2 8
Direct
0.0000 0.0000 0.0000
0.0000 0.0000 0.5000
0.1681 0.8319 0.7500
0.2710 0.7290 0.0865
0.2710 0.7290 0.4135
0.4530 0.5470 0.6633
0.4530 0.5470 0.8367
0.5470 0.4530 0.1633
0.5470 0.4530 0.3367
0.7290 0.2710 0.5865
0.7290 0.2710 0.9135
0.8319 0.1681 0.2500
0.1647 0.8353 0.2500
0.8353 0.1647 0.7500
0.0914 0.9086 0.6244
0.0914 0.9086 0.8756
0.3621 0.6379 0.5395
0.3621 0.6379 0.9605
0.6379 0.3621 0.0395
0.6379 0.3621 0.4605
0.9086 0.0914 0.1244
0.9086 0.0914 0.3756
```


[10]
Y3Si5Ni6: simulated powder diffractogram (copper Kα), based on a structure optimized by DFT (GGA-PBE).
Intensities are scaled so that the largest is 100.

Main lines, sorted by position (10 to 80 degrees two-theta):
d = 3.617 Å, intensity 12; d = 2.438 Å, intensity 75; d = 2.381 Å, intensity 100; d = 2.338 Å, intensity 14; d = 1.961 Å, intensity 21; d = 1.951 Å, intensity 31; d = 1.688 Å, intensity 12; d = 1.524 Å, intensity 15; d = 1.383 Å, intensity 13; d = 1.358 Å, intensity 21

```
Y3Si5Ni6
1.0
3.9030 0.0000 0.0000
0.0000 11.7679 0.0000
0.0000 0.0000 9.3532
Y Si Ni
6 10 12
Direct
0.2500 0.0865 0.2480
0.2500 0.4135 0.2480
0.2500 0.7500 0.2483
0.7500 0.2500 0.7517
0.7500 0.5865 0.7520
0.7500 0.9135 0.7520
0.2500 0.0798 0.8568
0.2500 0.4202 0.8568
0.2500 0.6343 0.5191
0.2500 0.7500 0.8824
0.2500 0.8657 0.5191
0.7500 0.1343 0.4809
0.7500 0.2500 0.1176
0.7500 0.3657 0.4809
0.7500 0.5798 0.1432
0.7500 0.9202 0.1432
0.2500 0.0544 0.5935
0.2500 0.2500 0.4986
0.2500 0.2500 0.9880
0.2500 0.4456 0.5935
0.2500 0.5800 0.0068
0.2500 0.9200 0.0068
0.7500 0.0800 0.9932
0.7500 0.4200 0.9932
0.7500 0.5544 0.4065
0.7500 0.7500 0.0120
0.7500 0.7500 0.5014
0.7500 0.9456 0.4065
```


[11]
BaAg4O7: simulated powder diffractogram (copper Kα), based on a structure optimized by DFT (GGA-PBE).
Intensities are scaled so that the largest is 100.

Main lines, sorted by position (10 to 80 degrees two-theta):
d = 5.163 Å, intensity 91; d = 3.254 Å, intensity 43; d = 2.964 Å, intensity 38; d = 2.891 Å, intensity 88; d = 2.787 Å, intensity 100; d = 2.581 Å, intensity 29; d = 1.827 Å, intensity 35; d = 1.819 Å, intensity 26; d = 1.656 Å, intensity 31; d = 1.445 Å, intensity 22

```
BaAg4O7
1.0
6.6222 0.0000 0.0000
-3.3111 5.7350 0.0000
0.0000 0.0000 11.8544
Ba Ag O
2 8 14
Direct
0.3333 0.6667 0.0000
0.6667 0.3333 0.5000
0.0000 0.0000 0.4579
0.0000 0.0000 0.9579
0.1842 0.3684 0.7195
0.1842 0.8158 0.7195
0.3684 0.1842 0.2195
0.6316 0.8158 0.7195
0.8158 0.1842 0.2195
0.8158 0.6316 0.2195
0.0000 0.0000 0.2752
0.0000 0.0000 0.7752
0.0392 0.5196 0.8281
0.1557 0.3114 0.5499
0.1557 0.8443 0.5499
0.3114 0.1557 0.0499
0.4804 0.5196 0.8281
0.4804 0.9608 0.8281
0.5196 0.0392 0.3281
0.5196 0.4804 0.3281
0.6886 0.8443 0.5499
0.8443 0.1557 0.0499
0.8443 0.6886 0.0499
0.9608 0.4804 0.3281
```


[12]
Cs3SnI5: simulated powder diffractogram (copper Kα), based on a structure optimized by DFT (GGA-PBE).
Intensities are scaled so that the largest is 100.

Main lines, sorted by position (10 to 80 degrees two-theta):
d = 3.699 Å, intensity 100; d = 3.665 Å, intensity 20; d = 3.442 Å, intensity 31; d = 3.278 Å, intensity 35; d = 2.883 Å, intensity 11; d = 2.326 Å, intensity 19; d = 2.318 Å, intensity 16; d = 2.240 Å, intensity 16; d = 1.837 Å, intensity 18; d = 1.728 Å, intensity 11

```
Cs3SnI5
1.0
-5.1826 5.1826 9.2068
5.1826 -5.1826 9.2068
5.1826 5.1826 -9.2068
Cs Sn I
6 2 10
Direct
0.1541 0.6541 0.8081
0.2500 0.2500 0.0000
0.3459 0.1541 0.5000
0.6541 0.8459 0.5000
0.7500 0.7500 0.0000
0.8459 0.3459 0.1919
0.2500 0.7500 0.5000
0.7500 0.2500 0.5000
0.0000 0.0000 0.0000
0.0155 0.1940 0.5000
0.1940 0.6940 0.1785
0.3060 0.4845 0.5000
0.4845 0.9845 0.1785
0.5000 0.5000 0.0000
0.5155 0.0155 0.8215
0.6940 0.5155 0.5000
0.8060 0.3060 0.8215
0.9845 0.8060 0.5000
```


Please write out number 11 again, unchanged.
BaAg4O7: simulated powder diffractogram (copper Kα), based on a structure optimized by DFT (GGA-PBE).
Intensities are scaled so that the largest is 100.

Main lines, sorted by position (10 to 80 degrees two-theta):
d = 5.163 Å, intensity 91; d = 3.254 Å, intensity 43; d = 2.964 Å, intensity 38; d = 2.891 Å, intensity 88; d = 2.787 Å, intensity 100; d = 2.581 Å, intensity 29; d = 1.827 Å, intensity 35; d = 1.819 Å, intensity 26; d = 1.656 Å, intensity 31; d = 1.445 Å, intensity 22

```
BaAg4O7
1.0
6.6222 0.0000 0.0000
-3.3111 5.7350 0.0000
0.0000 0.0000 11.8544
Ba Ag O
2 8 14
Direct
0.3333 0.6667 0.0000
0.6667 0.3333 0.5000
0.0000 0.0000 0.4579
0.0000 0.0000 0.9579
0.1842 0.3684 0.7195
0.1842 0.8158 0.7195
0.3684 0.1842 0.2195
0.6316 0.8158 0.7195
0.8158 0.1842 0.2195
0.8158 0.6316 0.2195
0.0000 0.0000 0.2752
0.0000 0.0000 0.7752
0.0392 0.5196 0.8281
0.1557 0.3114 0.5499
0.1557 0.8443 0.5499
0.3114 0.1557 0.0499
0.4804 0.5196 0.8281
0.4804 0.9608 0.8281
0.5196 0.0392 0.3281
0.5196 0.4804 0.3281
0.6886 0.8443 0.5499
0.8443 0.1557 0.0499
0.8443 0.6886 0.0499
0.9608 0.4804 0.3281
```


Please write out number 4 again, unchanged.
KTl2SnI4: simulated powder diffractogram (copper Kα), based on a structure optimized by DFT (GGA-PBE).
Intensities are scaled so that the largest is 100.

Main lines, sorted by position (10 to 80 degrees two-theta):
d = 6.285 Å, intensity 18; d = 3.523 Å, intensity 100; d = 3.477 Å, intensity 47; d = 2.491 Å, intensity 40; d = 2.475 Å, intensity 76; d = 2.025 Å, intensity 42; d = 1.575 Å, intensity 19; d = 1.571 Å, intensity 19; d = 1.559 Å, intensity 17; d = 1.435 Å, intensity 28

```
KTl2SnI4
1.0
7.0455 0.0000 0.0000
0.0000 7.0455 0.0000
0.0000 0.0000 13.9067
K Tl Sn I
2 4 2 8
Direct
0.0000 0.0000 0.0000
0.5000 0.5000 0.5000
0.0000 0.0000 0.5000
0.0000 0.5000 0.2500
0.5000 0.0000 0.7500
0.5000 0.5000 0.0000
0.0000 0.5000 0.7500
0.5000 0.0000 0.2500
0.0000 0.0000 0.2501
0.0000 0.0000 0.7499
0.0000 0.5000 0.5133
0.0000 0.5000 0.9867
0.5000 0.0000 0.0133
0.5000 0.0000 0.4867
0.5000 0.5000 0.2499
0.5000 0.5000 0.7501
```